This entry pairs a crystal structure of H3IBr with its computed X-ray powder pattern. Radiation: Cu Kα. Structure: a crystal structure in Alexandria, relaxed with PBE.

a b c (Å): 6.1426 6.5425 7.0830
angles (deg): 116.74 101.60 101.76
Space group P-1 (No. 2)
Inequivalent atoms, fractional coordinates:
H (0.2259, 0.0608, 0.4826) (multiplicity 2)
H (0.2505, 0.4890, 0.0137) (multiplicity 2)
H (0.2645, 0.9512, 0.4379) (multiplicity 2)
I (0.2418, 0.6361, 0.8230) (multiplicity 2)
Br (0.2582, 0.3667, 0.1742) (multiplicity 2)

The 8 most intense peaks (2θ from 10° to 80°), in order of rising 2θ:
Position (°2θ)	I (rel.)
14.9	54.4
16.1	100.0
25.7	77.0
27.1	65.5
27.9	55.6
30.0	31.4
31.6	46.2
32.8	40.8